[1]
Calculated powder X-ray diffraction pattern
Compound: YSc2SnC
Radiation: Cu Kα, 1.54184 Å
Structure: a cell relaxed with PBE
Intensities are scaled so that the largest is 100.

```
YSc2SnC
1.0
4.5770 0.0000 0.0000
0.0000 4.5770 0.0000
0.0000 0.0000 4.8530
Y Sc Sn C
1 2 1 1
Direct
0.0000 0.0000 0.0000
0.0000 0.5000 0.5000
0.5000 0.0000 0.5000
0.5000 0.5000 0.0000
0.0000 0.0000 0.5000
```

Main lines, by intensity (5° ≤ 2θ ≤ 70°):
2theta  intensity
33.3  100
39.4  36
55.2  26
67.5  25
37.0  21
64.4  18
27.6  17
18.3  14

[2]
Calculated powder X-ray diffraction pattern
Compound: K2Ag2GeSe4
Radiation: Cu Kα, 1.54184 Å
Structure: a cell relaxed with PBE
Intensities are scaled so that the largest is 100.

```
K2Ag2GeSe4
1.0
0.0000 7.0371 11.0173
3.3624 0.0000 11.0173
3.3624 7.0371 0.0000
K Ag Ge Se
4 4 2 8
Direct
0.0614 0.0614 0.6886
0.3114 0.3114 0.9386
0.6886 0.6886 0.0614
0.9386 0.9386 0.3114
0.3023 0.3023 0.4477
0.4477 0.4477 0.3023
0.5523 0.5523 0.6977
0.6977 0.6977 0.5523
0.1250 0.1250 0.1250
0.8750 0.8750 0.8750
0.0963 0.2776 0.3649
0.2389 0.6351 0.7224
0.2776 0.0963 0.7611
0.3649 0.7611 0.0963
0.6351 0.2389 0.9037
0.7224 0.9037 0.2389
0.7611 0.3649 0.2776
0.9037 0.7224 0.6351
```

Main lines, by intensity (5° ≤ 2θ ≤ 70°):
2theta  intensity
30.9  100
14.9  77
26.1  48
29.4  37
32.5  37
37.9  35
47.2  27
19.0  25

[3]
Calculated powder X-ray diffraction pattern
Compound: Pr3SnI3
Radiation: Cu Kα, 1.54184 Å
Structure: a cell relaxed with PBE
Intensities are scaled so that the largest is 100.

```
Pr3SnI3
1.0
9.2814 0.0000 0.0000
0.0000 4.5350 0.0000
-0.3918 0.0000 12.8801
Pr Sn I
6 2 6
Direct
0.1138 0.2500 0.1257
0.1160 0.2500 0.6489
0.3424 0.7500 0.8813
0.6576 0.2500 0.1187
0.8840 0.7500 0.3511
0.8862 0.7500 0.8743
0.1178 0.2500 0.8838
0.8822 0.7500 0.1162
0.1367 0.2500 0.3855
0.3633 0.7500 0.6295
0.3852 0.7500 0.1381
0.6148 0.2500 0.8619
0.6367 0.2500 0.3705
0.8633 0.7500 0.6145
```

Main lines, by intensity (5° ≤ 2θ ≤ 70°):
2theta  intensity
27.5  100
27.7  47
39.9  35
39.0  35
49.1  29
39.8  20
38.8  18
64.9  17

[4]
Calculated powder X-ray diffraction pattern
Compound: Rb2Ge2Cl5
Radiation: Cu Kα, 1.54184 Å
Structure: a cell relaxed with PBE
Intensities are scaled so that the largest is 100.

```
Rb2Ge2Cl5
1.0
8.8461 -2.2402 0.0000
8.8461 2.2402 0.0000
-3.2853 0.0000 7.8114
Rb Ge Cl
2 2 5
Direct
0.0915 0.0915 0.3721
0.9085 0.9085 0.6279
0.3237 0.3237 0.0098
0.6763 0.6763 0.9902
0.0998 0.0998 0.9590
0.2807 0.2807 0.7110
0.5000 0.5000 0.5000
0.7193 0.7193 0.2890
0.9002 0.9002 0.0410
```

Main lines, by intensity (5° ≤ 2θ ≤ 70°):
2theta  intensity
25.5  100
34.0  82
18.5  61
40.3  34
21.1  26
38.8  25
34.4  23
24.7  21

[5]
Calculated powder X-ray diffraction pattern
Compound: Sr6Li23
Radiation: Cu Kα, 1.54184 Å
Structure: a cell relaxed with PBE
Intensities are scaled so that the largest is 100.

```
Sr6Li23
1.0
0.0000 7.3816 7.3816
7.3816 0.0000 7.3816
7.3816 7.3816 0.0000
Sr Li
6 23
Direct
0.2061 0.2061 0.7939
0.2061 0.7939 0.2061
0.2061 0.7939 0.7939
0.7939 0.2061 0.2061
0.7939 0.2061 0.7939
0.7939 0.7939 0.2061
0.0000 0.0000 0.5000
0.0000 0.5000 0.0000
0.0000 0.5000 0.5000
0.1349 0.6217 0.6217
0.1777 0.1777 0.1777
0.1777 0.1777 0.4670
0.1777 0.4670 0.1777
0.3783 0.3783 0.3783
0.3783 0.3783 0.8651
0.3783 0.8651 0.3783
0.4670 0.1777 0.1777
0.5000 0.0000 0.0000
0.5000 0.0000 0.5000
0.5000 0.5000 0.0000
0.5000 0.5000 0.5000
0.5330 0.8223 0.8223
0.6217 0.1349 0.6217
0.6217 0.6217 0.1349
0.6217 0.6217 0.6217
0.8223 0.5330 0.8223
0.8223 0.8223 0.5330
0.8223 0.8223 0.8223
0.8651 0.3783 0.3783
```

Main lines, by intensity (5° ≤ 2θ ≤ 70°):
2theta  intensity
20.8  100
31.5  85
24.1  51
26.3  43
12.0  42
10.4  41
34.4  40
29.6  37

[6]
Calculated powder X-ray diffraction pattern
Compound: FeCo3
Radiation: Cu Kα, 1.54184 Å
Structure: a cell relaxed with PBE
Intensities are scaled so that the largest is 100.

```
FeCo3
1.0
-1.4227 1.9904 7.9641
1.4227 -1.9904 7.9641
1.4227 1.9904 -7.9641
Fe Co
2 6
Direct
0.3138 0.0638 0.2500
0.6862 0.9362 0.7500
0.0604 0.8104 0.2500
0.1880 0.4380 0.7500
0.4364 0.6864 0.7500
0.5636 0.3136 0.2500
0.8120 0.5620 0.2500
0.9396 0.1896 0.7500
```

Main lines, by intensity (5° ≤ 2θ ≤ 70°):
2theta  intensity
45.3  100
45.6  49
66.4  14
65.6  8